Entry 1:
# ThO
Theoretical powder diffractogram, Cu Kα (λ = 1.5418 Å). Input: a DFT-relaxed cell (GGA-PBE, the Materials Project).
No peak broadening, texture or thermal motion is included.

Crystal structure
```
ThO
1.0
0.000 2.549 2.549
2.549 0.000 2.549
2.549 2.549 0.000
Th O
1 1
direct
0.000 0.000 0.000
0.500 0.500 0.500
```

Main lines, low angle first (2θ = 5–70°):
two_theta	I_rel
30.37	100
35.21	70
50.64	50
60.20	47
63.18	17

***

Entry 2:
# NaGe6As6
Theoretical powder diffractogram, Cu Kα (λ = 1.5418 Å). Input: a DFT-relaxed cell (GGA-PBE, the Materials Project).
No peak broadening, texture or thermal motion is included.

Crystal structure
```
NaGe6As6
1.0
11.302 -1.944 0.000
11.302 1.944 0.000
-0.364 0.000 7.334
Na Ge As
1 6 6
direct
0.000 0.000 0.000
0.054 0.054 0.468
0.319 0.319 0.330
0.320 0.320 0.676
0.680 0.680 0.324
0.681 0.681 0.670
0.946 0.946 0.532
0.118 0.118 0.762
0.221 0.221 0.154
0.429 0.429 0.742
0.571 0.571 0.258
0.779 0.779 0.846
0.882 0.882 0.238
```

Main lines, low angle first (2θ = 5–70°):
two_theta	I_rel
12.07	30
24.27	28
27.17	28
28.31	100
33.69	22
42.90	21
44.12	28
44.93	35
46.72	31
50.27	21